Entry 1:
Simulated X-ray powder pattern
Compound: Li2CoNiP2O8
Radiation: Cu Kα X-rays
Structure: DFT lattice parameters and positions (GGA+U)
Lines closer than 0.1° are merged.

Structural model:
```
data_Li2CoNiP2O8
_chemical_formula_sum 'Li4 Co2 Ni2 P4 O16'
_space_group_name_H-M_alt 'P 1'
_space_group_IT_number 1
_cell_length_a 4.7343
_cell_length_b 5.9606
_cell_length_c 10.2199
_cell_angle_alpha 90.06
_cell_angle_beta 90.07
_cell_angle_gamma 90.07
loop_
_space_group_symop_operation_xyz
'x,y,z'
loop_
_atom_site_label
_atom_site_type_symbol
_atom_site_fract_x
_atom_site_fract_y
_atom_site_fract_z
Li1 Li 0.0000 0.0000 0.0000
Li2 Li 0.9996 0.4994 0.9997
Li3 Li 0.4991 0.0002 0.5007
Li4 Li 0.5003 0.5004 0.5001
Co1 Co 0.0222 0.7499 0.2746
Co2 Co 0.9801 0.2499 0.7243
Ni1 Ni 0.4846 0.7499 0.7772
Ni2 Ni 0.5134 0.2496 0.2235
P1 P 0.0793 0.2501 0.4055
P2 P 0.4186 0.2499 0.9074
P3 P 0.5817 0.7497 0.0927
P4 P 0.9187 0.7505 0.5959
O1 O 0.1990 0.2493 0.5473
O2 O 0.2192 0.0448 0.3338
O3 O 0.2196 0.4563 0.3347
O4 O 0.2432 0.7500 0.6017
O5 O 0.2575 0.7493 0.0964
O6 O 0.2783 0.4570 0.8374
O7 O 0.2828 0.0433 0.8346
O8 O 0.2972 0.2478 0.0488
O9 O 0.7035 0.7504 0.9514
O10 O 0.7182 0.5426 0.1643
O11 O 0.7184 0.9568 0.1648
O12 O 0.7430 0.2516 0.9034
O13 O 0.7549 0.2505 0.4001
O14 O 0.7780 0.5438 0.6663
O15 O 0.7782 0.9556 0.6685
O16 O 0.8008 0.7522 0.4543
```

Top 6 peaks for 10° ≤ 2θ ≤ 90°, most intense first:
2θ (°)  Rel. int.
35.8  100.0
25.6  90.2
30.0  59.0
20.7  48.3
17.4  38.4
52.5  35.6



Entry 2:
Simulated X-ray powder pattern
Compound: Li4Co3NiP4O16
Radiation: Cu Kα X-rays
Structure: DFT lattice parameters and positions (GGA+U)
Lines closer than 0.1° are merged.

Structural model:
```
data_Li4Co3NiP4O16
_chemical_formula_sum 'Li4 Co3 Ni1 P4 O16'
_space_group_name_H-M_alt 'P 1 m 1'
_space_group_IT_number 6
_cell_length_a 4.7484
_cell_length_b 5.9638
_cell_length_c 10.2686
_cell_angle_alpha 90.00
_cell_angle_beta 90.03
_cell_angle_gamma 90.00
loop_
_space_group_symop_operation_xyz
'x,y,z'
'x,-y,z'
loop_
_atom_site_label
_atom_site_type_symbol
_atom_site_fract_x
_atom_site_fract_y
_atom_site_fract_z
Li1 Li 0.0000 0.2493 0.0000
Li2 Li 0.4991 0.2509 0.4987
Co1 Co 0.0176 0.5000 0.2776
Co2 Co 0.4820 0.5000 0.7801
Co3 Co 0.9835 0.0000 0.7189
Ni1 Ni 0.5153 0.0000 0.2212
P1 P 0.0814 0.0000 0.4010
P2 P 0.4204 0.0000 0.9050
P3 P 0.5816 0.5000 0.0935
P4 P 0.9190 0.5000 0.5942
O1 O 0.2010 0.0000 0.5420
O2 O 0.2215 0.2058 0.3299
O3 O 0.2422 0.5000 0.5978
O4 O 0.2586 0.5000 0.0966
O5 O 0.2806 0.2056 0.8333
O6 O 0.2996 0.0000 0.0458
O7 O 0.7043 0.5000 0.9530
O8 O 0.7198 0.2931 0.1641
O9 O 0.7432 0.0000 0.9002
O10 O 0.7579 0.0000 0.3968
O11 O 0.7806 0.2937 0.6653
O12 O 0.7973 0.5000 0.4536
```

Top 6 peaks for 10° ≤ 2θ ≤ 90°, most intense first:
2θ (°)  Rel. int.
35.7  100.0
25.5  96.0
30.0  61.4
20.6  54.1
17.3  39.6
52.4  37.1



Entry 3:
Simulated X-ray powder pattern
Compound: Li4CoNi5P6O24
Radiation: Cu Kα X-rays
Structure: DFT lattice parameters and positions (GGA+U)
Lines closer than 0.1° are merged.

Structural model:
```
data_Li4CoNi5P6O24
_chemical_formula_sum 'Li4 Co1 Ni5 P6 O24'
_space_group_name_H-M_alt 'P 1'
_space_group_IT_number 1
_cell_length_a 8.2651
_cell_length_b 8.4210
_cell_length_c 8.5701
_cell_angle_alpha 60.96
_cell_angle_beta 61.32
_cell_angle_gamma 62.29
loop_
_space_group_symop_operation_xyz
'x,y,z'
loop_
_atom_site_label
_atom_site_type_symbol
_atom_site_fract_x
_atom_site_fract_y
_atom_site_fract_z
Li1 Li 0.0000 0.0000 0.0000
Li2 Li 0.1494 0.8760 0.4726
Li3 Li 0.3152 0.3631 0.3898
Li4 Li 0.6642 0.6473 0.7044
Co1 Co 0.2660 0.5867 0.9410
Ni1 Ni 0.0422 0.3807 0.7526
Ni2 Ni 0.4224 0.7281 0.1103
Ni3 Ni 0.5529 0.8861 0.2465
Ni4 Ni 0.7727 0.0836 0.4602
Ni5 Ni 0.9092 0.2420 0.5889
P1 P 0.1666 0.1682 0.1373
P2 P 0.3395 0.9826 0.6409
P3 P 0.4778 0.4772 0.5547
P4 P 0.6415 0.3017 0.0629
P5 P 0.8565 0.7702 0.8562
P6 P 0.9668 0.7014 0.3435
O1 O 0.0151 0.1939 0.3279
O2 O 0.0171 0.6636 0.9519
O3 O 0.0830 0.1928 0.9995
O4 O 0.1740 0.1816 0.6174
O5 O 0.1827 0.6173 0.2210
O6 O 0.2673 0.8569 0.8556
O7 O 0.2863 0.3116 0.0292
O8 O 0.2965 0.4370 0.5936
O9 O 0.3034 0.9602 0.1886
O10 O 0.3506 0.9088 0.5039
O11 O 0.4527 0.5575 0.6980
O12 O 0.5009 0.1769 0.1739
O13 O 0.5200 0.6213 0.3490
O14 O 0.5205 0.5171 0.9938
O15 O 0.5371 0.9869 0.6053
O16 O 0.6543 0.2944 0.5702
O17 O 0.6540 0.8316 0.9948
O18 O 0.6998 0.2680 0.2227
O19 O 0.8059 0.2503 0.8882
O20 O 0.8336 0.8196 0.2224
O21 O 0.8601 0.6255 0.7946
O22 O 0.9038 0.5263 0.5142
O23 O 0.9095 0.9485 0.6876
O24 O 0.9712 0.8368 0.4117
```

Top 6 peaks for 10° ≤ 2θ ≤ 90°, most intense first:
2θ (°)  Rel. int.
20.6  100.0
33.2  63.6
20.7  58.6
36.2  57.3
24.7  47.0
34.0  46.8



Entry 4:
Simulated X-ray powder pattern
Compound: Li4Co3Ni2Sn3O16
Radiation: Cu Kα X-rays
Structure: DFT lattice parameters and positions (GGA+U)
Lines closer than 0.1° are merged.

Structural model:
```
data_Li4Co3Ni2Sn3O16
_chemical_formula_sum 'Li4 Co3 Ni2 Sn3 O16'
_space_group_name_H-M_alt 'P 1'
_space_group_IT_number 1
_cell_length_a 5.9737
_cell_length_b 6.0022
_cell_length_c 9.6939
_cell_angle_alpha 89.33
_cell_angle_beta 89.35
_cell_angle_gamma 60.98
loop_
_space_group_symop_operation_xyz
'x,y,z'
loop_
_atom_site_label
_atom_site_type_symbol
_atom_site_fract_x
_atom_site_fract_y
_atom_site_fract_z
Li1 Li 0.0000 0.0000 0.0000
Li2 Li 0.0061 0.9966 0.4926
Li3 Li 0.3024 0.3020 0.1140
Li4 Li 0.6321 0.6451 0.5988
Co1 Co 0.1417 0.1483 0.7797
Co2 Co 0.3173 0.8091 0.2819
Co3 Co 0.8095 0.3157 0.2789
Ni1 Ni 0.3127 0.3149 0.5033
Ni2 Ni 0.6379 0.6513 0.0085
Sn1 Sn 0.1404 0.6412 0.7800
Sn2 Sn 0.6353 0.1477 0.7811
Sn3 Sn 0.8110 0.8084 0.2827
O1 O 0.0054 0.9624 0.1809
O2 O 0.0076 0.4431 0.6591
O3 O 0.1507 0.6679 0.3954
O4 O 0.1549 0.1337 0.3732
O5 O 0.2949 0.3029 0.8959
O6 O 0.2972 0.8391 0.8856
O7 O 0.4377 0.0155 0.6595
O8 O 0.4576 0.4626 0.6525
O9 O 0.4855 0.5067 0.1728
O10 O 0.4860 0.9368 0.1609
O11 O 0.6216 0.6578 0.3937
O12 O 0.6711 0.1611 0.3908
O13 O 0.8184 0.8244 0.9052
O14 O 0.8328 0.3016 0.8878
O15 O 0.9344 0.4726 0.1624
O16 O 0.9847 0.9910 0.6769
```

Top 6 peaks for 10° ≤ 2θ ≤ 90°, most intense first:
2θ (°)  Rel. int.
18.3  100.0
19.3  48.0
35.5  43.4
19.2  29.6
34.8  28.2
35.4  25.2